Simulated XRD peak list
Compound: NbCr4Si
Radiation: Cu Kα X-rays
Structure: DFT lattice parameters and positions (GGA-PBE)
Kinematic intensities with the Lorentz-polarization factor, no thermal factor.

```
data_NbCr4Si
_space_group_name_H-M_alt 'P 1'
_space_group_IT_number 1
_space_group_name_Hall 'P 1'
_cell_length_a 4.872
_cell_length_b 4.872
_cell_length_c 7.649
_cell_angle_alpha 90.00
_cell_angle_beta 90.00
_cell_angle_gamma 120.00
loop_
_atom_site_label
_atom_site_type_symbol
_atom_site_fract_x
_atom_site_fract_y
_atom_site_fract_z
Nb1 Nb 0.333 0.667 0.433
Nb2 Nb 0.667 0.333 0.567
Cr1 Cr 0.000 0.000 0.000
Cr2 Cr 0.000 0.000 0.500
Cr3 Cr 0.171 0.343 0.762
Cr4 Cr 0.171 0.829 0.762
Cr5 Cr 0.343 0.171 0.238
Cr6 Cr 0.657 0.829 0.762
Cr7 Cr 0.829 0.171 0.238
Cr8 Cr 0.829 0.657 0.238
Si1 Si 0.333 0.667 0.068
Si2 Si 0.667 0.333 0.932
```

Top 10 peaks for 2θ from 15° to 90°, in order of rising 2θ:
2θ (°)  Rel. int.
31.57  19.4
36.90  37.2
38.79  17.7
41.38  78.4
44.07  100.0
44.55  92.1
69.52  27.4
71.46  21.5
77.00  24.4
78.53  25.4